MnCu2Ni8: theoretical XRD peak list (Cu Kα (weighted mean of Kα1 and Kα2)), based on DFT lattice parameters and positions (PBE).

The 10 most intense peaks (2θ = 10–90°), most intense first:
| two_theta | d_spacing | I/Imax |
| --- | --- | --- |
| 45.07 | 2.012 | 100.0 |
| 45.60 | 1.990 | 82.2 |
| 47.54 | 1.913 | 81.3 |
| 69.51 | 1.352 | 23.1 |
| 39.27 | 2.294 | 15.2 |
| 62.49 | 1.486 | 14.0 |
| 86.72 | 1.123 | 13.5 |
| 86.46 | 1.126 | 12.3 |
| 82.10 | 1.174 | 11.7 |
| 87.09 | 1.119 | 11.0 |

Structural model:
```
11
Lattice="3.604 -4.729 0.000 3.604 4.729 0.000 0.000 0.000 3.828" Properties=species:S:1:pos:R:3 pbc="T T T"
Mn 0.000 0.000 0.000
Cu 3.604 1.152 1.914
Cu 3.604 -1.152 1.914
Ni 1.207 1.250 1.914
Ni 3.604 2.391 0.000
Ni 1.207 -1.250 1.914
Ni 2.390 0.000 0.000
Ni 4.818 0.000 0.000
Ni 6.002 1.250 1.914
Ni 3.604 -2.391 0.000
Ni 6.002 -1.250 1.914
```

---

Pm4Ho3Er8: theoretical XRD peak list (Cu Kα (weighted mean of Kα1 and Kα2)), based on DFT lattice parameters and positions (PBE).

The 10 most intense peaks (2θ = 10–90°), most intense first:
| two_theta | d_spacing | I/Imax |
| --- | --- | --- |
| 31.56 | 2.835 | 100.0 |
| 36.29 | 2.476 | 72.8 |
| 30.46 | 2.935 | 54.5 |
| 62.34 | 1.489 | 42.8 |
| 52.97 | 1.729 | 36.1 |
| 51.54 | 1.773 | 23.3 |
| 29.97 | 2.981 | 23.2 |
| 61.05 | 1.518 | 16.2 |
| 87.13 | 1.119 | 15.9 |
| 26.88 | 3.316 | 15.0 |

Structural model:
```
15
Lattice="3.457 1.996 11.738 -3.457 1.996 11.738 0.000 -3.992 11.738" Properties=species:S:1:pos:R:3 pbc="T T T"
Pm 0.000 0.000 0.000
Pm 0.000 0.000 5.756
Pm 0.000 0.000 17.607
Pm 0.000 0.000 29.458
Ho -1.729 -0.998 11.738
Ho -1.729 0.998 23.476
Ho 0.000 1.996 11.738
Er 0.000 -1.985 14.635
Er -1.719 0.992 14.635
Er -1.719 -0.992 20.579
Er 0.000 0.000 8.990
Er 0.000 0.000 26.224
Er 1.719 0.992 14.635
Er 1.719 -0.992 20.579
Er 0.000 1.985 20.579
```

---

Pu3Pd2Au2: theoretical XRD peak list (Cu Kα (weighted mean of Kα1 and Kα2)), based on DFT lattice parameters and positions (PBE).

The 10 most intense peaks (2θ = 10–90°), most intense first:
| two_theta | d_spacing | I/Imax |
| --- | --- | --- |
| 32.47 | 2.757 | 100.0 |
| 38.64 | 2.330 | 85.1 |
| 66.05 | 1.415 | 31.0 |
| 25.01 | 3.560 | 22.6 |
| 46.58 | 1.950 | 20.5 |
| 69.92 | 1.345 | 18.2 |
| 53.59 | 1.710 | 15.2 |
| 51.33 | 1.780 | 12.8 |
| 49.00 | 1.859 | 12.4 |
| 81.04 | 1.187 | 12.1 |

Structural model:
```
14
Lattice="-4.360 4.360 4.360 4.360 -4.360 4.360 4.360 4.360 -4.360" Properties=species:S:1:pos:R:3 pbc="T T T"
Pu 4.360 -2.180 3.090
Pu 3.090 4.360 -2.180
Pu 4.360 2.180 1.270
Pu 2.180 1.270 4.360
Pu 1.270 4.360 2.180
Pu -2.180 3.090 4.360
Pd 5.003 -0.643 0.643
Pd 0.643 5.003 -0.643
Pd -0.643 0.643 5.003
Pd 3.717 3.717 3.717
Au 2.990 1.370 -1.370
Au 1.370 -1.370 2.990
Au 1.370 1.370 1.370
Au -1.370 2.990 1.370
```

---

Ac12CuGe6: theoretical XRD peak list (Cu Kα (weighted mean of Kα1 and Kα2)), based on DFT lattice parameters and positions (PBE).

The 10 most intense peaks (2θ = 10–90°), most intense first:
| two_theta | d_spacing | I/Imax |
| --- | --- | --- |
| 23.82 | 3.736 | 100.0 |
| 33.69 | 2.660 | 66.6 |
| 34.17 | 2.624 | 55.0 |
| 29.90 | 2.988 | 52.5 |
| 28.92 | 3.088 | 36.4 |
| 50.09 | 1.821 | 21.8 |
| 48.75 | 1.868 | 21.2 |
| 25.31 | 3.519 | 20.8 |
| 50.55 | 1.806 | 18.9 |
| 21.87 | 4.064 | 16.3 |

Structural model:
```
19
Lattice="7.039 4.064 4.256 -7.039 4.064 4.256 0.000 -8.127 4.256" Properties=species:S:1:pos:R:3 pbc="T T T"
Ac -6.206 -1.546 7.033
Ac -1.764 -6.148 5.735
Ac -2.659 -0.361 4.952
Ac -4.442 4.601 5.735
Ac 1.642 -2.122 4.952
Ac -1.017 -2.483 7.815
Ac 1.017 2.483 4.952
Ac -1.642 2.122 7.815
Ac 4.442 -4.601 7.033
Ac 2.659 0.361 7.815
Ac 1.764 6.148 7.033
Ac 6.206 1.546 5.735
Cu 0.000 0.000 0.000
Ge -1.286 -3.257 4.517
Ge -2.178 2.742 4.517
Ge -3.464 -0.515 8.251
Ge 3.464 0.515 4.517
Ge 2.178 -2.742 8.251
Ge 1.286 3.257 8.251
```

---

Sc2NbAu2: theoretical XRD peak list (Cu Kα (weighted mean of Kα1 and Kα2)), based on DFT lattice parameters and positions (PBE).

The 10 most intense peaks (2θ = 10–90°), most intense first:
| two_theta | d_spacing | I/Imax |
| --- | --- | --- |
| 37.67 | 2.388 | 100.0 |
| 36.42 | 2.467 | 53.0 |
| 25.53 | 3.489 | 51.9 |
| 27.22 | 3.276 | 36.5 |
| 46.06 | 1.971 | 31.2 |
| 50.56 | 1.805 | 19.7 |
| 71.17 | 1.325 | 19.0 |
| 41.75 | 2.163 | 17.5 |
| 16.07 | 5.516 | 16.9 |
| 68.80 | 1.365 | 16.2 |

Structural model:
```
10
Lattice="7.801 0.000 0.000 0.000 7.801 0.000 0.000 0.000 3.276" Properties=species:S:1:pos:R:3 pbc="T T T"
Sc 1.309 2.591 0.000
Sc 2.591 6.491 0.000
Sc 5.210 1.309 0.000
Sc 6.491 5.210 0.000
Nb 0.000 0.000 1.638
Nb 3.900 3.900 1.638
Au 1.027 4.928 1.638
Au 2.873 1.027 1.638
Au 4.928 6.773 1.638
Au 6.773 2.873 1.638
```

---

Pm2Lu4C: theoretical XRD peak list (Cu Kα (weighted mean of Kα1 and Kα2)), based on DFT lattice parameters and positions (PBE).

The 10 most intense peaks (2θ = 10–90°), most intense first:
| two_theta | d_spacing | I/Imax |
| --- | --- | --- |
| 33.20 | 2.698 | 100.0 |
| 28.49 | 3.133 | 86.4 |
| 38.19 | 2.356 | 66.8 |
| 30.84 | 2.900 | 51.0 |
| 65.88 | 1.418 | 28.3 |
| 29.14 | 3.065 | 28.0 |
| 49.87 | 1.829 | 27.2 |
| 48.75 | 1.868 | 27.1 |
| 55.12 | 1.666 | 23.2 |
| 39.24 | 2.296 | 19.9 |

Structural model:
```
7
Lattice="-2.356 2.356 9.195 2.356 -2.356 9.195 2.356 2.356 -9.195" Properties=species:S:1:pos:R:3 pbc="T T T"
Pm 0.000 0.000 3.365
Pm 0.000 0.000 15.025
Lu 2.356 0.000 0.000
Lu 0.000 0.000 6.841
Lu 0.000 2.356 0.000
Lu 0.000 0.000 11.549
C 0.000 0.000 9.195
```

---

HoGaPd2: theoretical XRD peak list (Cu Kα (weighted mean of Kα1 and Kα2)), based on DFT lattice parameters and positions (PBE).

The 10 most intense peaks (2θ = 10–90°), most intense first:
| two_theta | d_spacing | I/Imax |
| --- | --- | --- |
| 36.52 | 2.461 | 100.0 |
| 35.05 | 2.560 | 80.8 |
| 40.42 | 2.231 | 56.1 |
| 31.80 | 2.814 | 50.8 |
| 38.66 | 2.329 | 43.8 |
| 42.88 | 2.109 | 40.5 |
| 32.02 | 2.795 | 39.3 |
| 42.72 | 2.116 | 30.7 |
| 34.24 | 2.619 | 27.4 |
| 63.84 | 1.458 | 21.3 |

Structural model:
```
16
Lattice="7.296 0.000 0.000 0.000 7.186 0.000 0.000 0.000 5.612" Properties=species:S:1:pos:R:3 pbc="T T T"
Ho 0.207 1.797 0.806
Ho 3.440 5.390 3.612
Ho 3.855 1.797 2.000
Ho 7.088 5.390 4.806
Ga 0.837 5.390 2.013
Ga 2.811 1.797 4.819
Ga 4.484 5.390 0.792
Ga 6.459 1.797 3.598
Pd 1.351 0.365 3.301
Pd 1.351 3.228 3.301
Pd 2.297 3.959 0.495
Pd 2.297 6.821 0.495
Pd 4.999 0.365 5.117
Pd 4.999 3.228 5.117
Pd 5.944 3.959 2.311
Pd 5.944 6.821 2.311
```